For K2CeNiO4, DFT lattice parameters and positions (GGA+U) gives the calculated X-ray powder pattern in this record (Cu Ka).
Peak positions follow from Bragg's law for the DFT cell and can differ from measured ones.

Peak list (10 most intense, 2θ = 10–90°, low angle first)
- 2θ = 18.52°, 4.791 Å, intensity 54, (1 0 1)
- 2θ = 29.51°, 3.027 Å, intensity 37, (2 0 0)
- 2θ = 30.94°, 2.890 Å, intensity 100, (1 1 2)
- 2θ = 35.07°, 2.559 Å, intensity 14, (1 2 1)
- 2θ = 37.52°, 2.397 Å, intensity 10, (1 0 3)
- 2θ = 42.23°, 2.140 Å, intensity 24, (2 2 0)
- 2θ = 48.43°, 1.880 Å, intensity 12, (2 1 3)
- 2θ = 53.26°, 1.720 Å, intensity 39, (3 1 2)
- 2θ = 55.90°, 1.645 Å, intensity 21, (2 0 4)
- 2θ = 87.63°, 1.114 Å, intensity 10, (2 4 4)

Structural model:
Lattice parameters (Å, degrees): 6.0535 6.0535 7.8369 90.00 90.00 90.00
Space group I-4 (No. 82)
Asymmetric unit:
1 K 0.0000 0.0000 0.0000
2 K 0.0000 0.5000 0.2500
3 Ce 0.0000 0.5000 0.7500
4 Ni 0.0000 0.0000 0.5000
5 O 0.1612 0.7566 0.6103